Calculated powder X-ray diffraction pattern
Compound: CaWF5
Radiation: Cu Ka
Structure: DFT lattice parameters and positions (GGA+U)

Principal peaks in the range 5 to 70 degrees two-theta, in order of rising 2θ:
2θ 16.32, d = 5.430 Å, intensity 57, (0 2 0)
2θ 16.48, d = 5.378 Å, intensity 29, (1 0 0)
2θ 18.41, d = 4.819 Å, intensity 69, (1 1 0)
2θ 23.28, d = 3.821 Å, intensity 100, (1 2 0)
2θ 25.12, d = 3.546 Å, intensity 76, (0 1 2)
2θ 25.27, d = 3.524 Å, intensity 72, (1 1 -2)
2θ 34.39, d = 2.608 Å, intensity 38, (2 1 0)
2θ 41.87, d = 2.158 Å, intensity 43, (2 3 0)
2θ 47.69, d = 1.907 Å, intensity 22, (1 4 2)
2θ 47.95, d = 1.897 Å, intensity 21, (2 4 -2)

Atomic structure:
Cell lengths 5.7166, 10.8596, 7.9747 Å; angles 90.00, 109.82, 90.00 degrees
Element x y z (fractional)
Ca1 0.0270 0.0150 0.2535
Ca2 0.0270 0.4850 0.7535
Ca3 0.9730 0.5150 0.2465
Ca4 0.9730 0.9850 0.7465
W1 0.3925 0.2470 0.5998
W2 0.3925 0.2530 0.0998
W3 0.6075 0.7470 0.9002
W4 0.6075 0.7530 0.4002
F1 0.1023 0.1134 0.5554
F2 0.1023 0.3866 0.0554
F3 0.1345 0.1067 0.0009
F4 0.1345 0.3933 0.5009
F5 0.3102 0.6308 0.3513
F6 0.3102 0.8692 0.8513
F7 0.3586 0.1826 0.3403
F8 0.3586 0.3174 0.8403
F9 0.3605 0.6016 0.8073
F10 0.3605 0.8984 0.3073
F11 0.6395 0.1016 0.6927
F12 0.6395 0.3984 0.1927
F13 0.6414 0.6826 0.1597
F14 0.6414 0.8174 0.6597
F15 0.6898 0.1308 0.1487
F16 0.6898 0.3692 0.6487
F17 0.8655 0.6067 0.4991
F18 0.8655 0.8933 0.9991
F19 0.8977 0.6134 0.9446
F20 0.8977 0.8866 0.4446